For Li7NiO4F2, a DFT-relaxed cell (GGA+U, Alexandria) gives the simulated PXRD pattern in this record (copper Kα).
Kinematic intensities with the Lorentz-polarization factor, no thermal factor.

Structural model:
a b c (Å): 5.233 5.674 5.761
angles (deg): 64.06 63.23 68.66
Sites, in units of the cell vectors:
Li: 0.000 0.000 0.000
Li: 0.079 0.579 0.901
Li: 0.232 0.015 0.490
Li: 0.369 0.585 0.306
Li: 0.515 0.366 0.983
Li: 0.734 0.652 0.538
Li: 0.835 0.297 0.339
Ni: 0.549 0.969 0.908
O: 0.204 0.191 0.072
O: 0.390 0.753 0.854
O: 0.724 0.714 0.178
O: 0.811 0.204 0.709
F: 0.053 0.714 0.555
F: 0.520 0.229 0.338

Top 12 peaks for 2θ = 5–70°, by intensity:
hkl, 2θ (°), I/Imax
0 1 0, 17.8, 100
1 0 2, 35.3, 94
1 0 0, 19.4, 88
0 0 1, 18.3, 84
1 1 1, 20.6, 78
-1 1 1, 35.1, 74
1 0 1, 21.6, 71
0 1 -1, 29.6, 52
0 1 1, 20.9, 51
2 2 1, 40.8, 49
1 1 0, 23.5, 37
1 2 2, 37.1, 35